Entry 1:
# Sn2Pt2Cl
Simulated powder diffractogram, λ = 1.5418 Å (Cu Kα). Input: a DFT-relaxed cell (PBE, Alexandria).

Main lines, by intensity (2θ from 5° to 70°):
d (Å)	2theta	I_rel
4.341	20.5	1000
2.056	44.0	948
2.390	37.6	913
2.800	32.0	654
2.831	31.6	479
1.818	50.2	368
5.182	17.1	335
1.690	54.3	321

Crystal structure
```
data_Sn2Pt2Cl
_cell_length_a 6.1872
_cell_length_b 6.1872
_cell_length_c 6.1872
_cell_angle_alpha 134.55
_cell_angle_beta 134.55
_cell_angle_gamma 66.24
_space_group_name_H-M_alt 'P 1'
_space_group_IT_number 1
loop_
_space_group_symop_operation_xyz
'x,y,z'
loop_
_atom_site_label
_atom_site_fract_x
_atom_site_fract_y
_atom_site_fract_z
_atom_site_occupancy
Sn1 0.2500 0.7500 0.5000 1
Sn2 0.7500 0.2500 0.5000 1
Pt1 0.1273 0.1273 0.0000 1
Pt2 0.8727 0.8727 0.0000 1
Cl1 0.5000 0.5000 0.0000 1
```

Entry 2:
# Nb2PdC
Simulated powder diffractogram, λ = 1.5418 Å (Cu Kα). Input: a DFT-relaxed cell (PBE, Alexandria).

Main lines, by intensity (2θ from 5° to 70°):
d (Å)	2theta	I_rel
2.402	37.4	1000
2.270	39.7	606
2.317	38.9	327
1.562	59.1	322
2.684	33.4	295
1.877	48.5	202
1.380	67.9	165
2.619	34.2	68

Crystal structure
```
data_Nb2PdC
_cell_length_a 7.1817
_cell_length_b 7.1817
_cell_length_c 7.1817
_cell_angle_alpha 25.13
_cell_angle_beta 25.13
_cell_angle_gamma 25.13
_space_group_name_H-M_alt 'P 1'
_space_group_IT_number 1
loop_
_space_group_symop_operation_xyz
'x,y,z'
loop_
_atom_site_label
_atom_site_fract_x
_atom_site_fract_y
_atom_site_fract_z
_atom_site_occupancy
Nb1 0.2253 0.2253 0.2253 1
Nb2 0.7747 0.7747 0.7747 1
Pd1 0.0000 0.0000 0.0000 1
C1 0.5000 0.5000 0.5000 1
```

Entry 3:
# Sr2CdBiP
Simulated powder diffractogram, λ = 1.5418 Å (Cu Kα). Input: a DFT-relaxed cell (PBE, Alexandria).

Main lines, by intensity (2θ from 5° to 70°):
d (Å)	2theta	I_rel
3.212	27.8	1000
3.020	29.6	808
2.664	33.6	700
3.228	27.6	627
2.297	39.2	526
2.329	38.7	501
4.492	19.8	448
3.457	25.8	438

Crystal structure
```
data_Sr2CdBiP
_cell_length_a 8.1025
_cell_length_b 4.5947
_cell_length_c 9.4319
_cell_angle_alpha 90.00
_cell_angle_beta 105.93
_cell_angle_gamma 90.00
_space_group_name_H-M_alt 'P 1'
_space_group_IT_number 1
loop_
_space_group_symop_operation_xyz
'x,y,z'
loop_
_atom_site_label
_atom_site_fract_x
_atom_site_fract_y
_atom_site_fract_z
_atom_site_occupancy
Sr1 0.1751 0.2500 0.3875 1
Sr2 0.2092 0.2500 0.9687 1
Sr3 0.7908 0.7500 0.0313 1
Sr4 0.8249 0.7500 0.6125 1
Cd1 0.4847 0.7500 0.2673 1
Cd2 0.5153 0.2500 0.7327 1
Bi1 0.2863 0.7500 0.6934 1
Bi2 0.7137 0.2500 0.3066 1
P1 0.1653 0.7500 0.1742 1
P2 0.8347 0.2500 0.8258 1
```

Entry 4:
# Ho3Ga2
Simulated powder diffractogram, λ = 1.5418 Å (Cu Kα). Input: a DFT-relaxed cell (PBE, Alexandria).

Main lines, by intensity (2θ from 5° to 70°):
d (Å)	2theta	I_rel
2.603	34.5	1000
2.757	32.5	835
2.691	33.3	428
2.727	32.8	315
2.440	36.8	305
2.587	34.7	269
2.746	32.6	230
1.497	62.0	203

Crystal structure
```
data_Ho3Ga2
_cell_length_a 11.0372
_cell_length_b 11.0372
_cell_length_c 11.0372
_cell_angle_alpha 116.78
_cell_angle_beta 116.78
_cell_angle_gamma 95.67
_space_group_name_H-M_alt 'P 1'
_space_group_IT_number 1
loop_
_space_group_symop_operation_xyz
'x,y,z'
loop_
_atom_site_label
_atom_site_fract_x
_atom_site_fract_y
_atom_site_fract_z
_atom_site_occupancy
Ho1 0.0669 0.9316 0.2697 1
Ho2 0.0684 0.3381 0.1354 1
Ho3 0.1460 0.6460 0.5000 1
Ho4 0.1619 0.4316 0.8646 1
Ho5 0.1693 0.3307 0.5000 1
Ho6 0.2028 0.9331 0.8646 1
Ho7 0.2972 0.1619 0.7303 1
Ho8 0.3307 0.8307 0.1615 1
Ho9 0.3381 0.2028 0.2697 1
Ho10 0.3540 0.8540 0.5000 1
Ho11 0.4316 0.5669 0.2697 1
Ho12 0.4331 0.7028 0.8646 1
Ho13 0.5669 0.2972 0.1354 1
Ho14 0.5684 0.4331 0.7303 1
Ho15 0.6460 0.1460 0.5000 1
Ho16 0.6619 0.7972 0.7303 1
Ho17 0.6693 0.1693 0.8385 1
Ho18 0.7028 0.8381 0.2697 1
Ho19 0.7972 0.0669 0.1354 1
Ho20 0.8307 0.6693 0.5000 1
Ho21 0.8381 0.5684 0.1354 1
Ho22 0.8540 0.3540 0.5000 1
Ho23 0.9316 0.6619 0.8646 1
Ho24 0.9331 0.0684 0.7303 1
Ga1 0.0000 0.0000 0.0000 1
Ga2 0.0242 0.8788 0.5000 1
Ga3 0.1181 0.6181 0.7362 1
Ga4 0.1212 0.6212 0.1455 1
Ga5 0.2500 0.2500 0.0000 1
Ga6 0.3787 0.5242 0.5000 1
Ga7 0.3819 0.1181 0.5000 1
Ga8 0.4758 0.9758 0.8545 1
Ga9 0.5000 0.5000 0.0000 1
Ga10 0.5242 0.0242 0.1455 1
Ga11 0.6181 0.8819 0.5000 1
Ga12 0.6212 0.4758 0.5000 1
Ga13 0.7500 0.7500 0.0000 1
Ga14 0.8788 0.3787 0.8545 1
Ga15 0.8819 0.3819 0.2638 1
Ga16 0.9758 0.1212 0.5000 1
```

Entry 5:
# SrInGe2Se6
Simulated powder diffractogram, λ = 1.5418 Å (Cu Kα). Input: a DFT-relaxed cell (PBE, Alexandria).

Main lines, by intensity (2θ from 5° to 70°):
d (Å)	2theta	I_rel
4.595	19.3	1000
4.012	22.2	931
3.266	27.3	811
3.038	29.4	787
1.908	47.7	586
1.872	48.6	578
4.344	20.4	574
3.552	25.1	568

Crystal structure
```
data_SrInGe2Se6
_cell_length_a 9.3300
_cell_length_b 9.3300
_cell_length_c 8.2215
_cell_angle_alpha 110.93
_cell_angle_beta 110.93
_cell_angle_gamma 78.73
_space_group_name_H-M_alt 'P 1'
_space_group_IT_number 1
loop_
_space_group_symop_operation_xyz
'x,y,z'
loop_
_atom_site_label
_atom_site_fract_x
_atom_site_fract_y
_atom_site_fract_z
_atom_site_occupancy
Sr1 0.1686 0.8314 0.7500 1
Sr2 0.8314 0.1686 0.2500 1
In1 0.1961 0.8039 0.2500 1
In2 0.8039 0.1961 0.7500 1
Ge1 0.2420 0.3614 0.8163 1
Ge2 0.3614 0.2420 0.3163 1
Ge3 0.6386 0.7580 0.6837 1
Ge4 0.7580 0.6386 0.1837 1
Se1 0.0556 0.1628 0.6468 1
Se2 0.1014 0.6082 0.9188 1
Se3 0.1628 0.0556 0.1468 1
Se4 0.2856 0.4323 0.5675 1
Se5 0.3918 0.8986 0.5812 1
Se6 0.4323 0.2856 0.0675 1
Se7 0.5677 0.7144 0.9325 1
Se8 0.6082 0.1014 0.4188 1
Se9 0.7144 0.5677 0.4325 1
Se10 0.8372 0.9444 0.8532 1
Se11 0.8986 0.3918 0.0812 1
Se12 0.9444 0.8372 0.3532 1
```

Entry 6:
# Sr2Mg3Tl
Simulated powder diffractogram, λ = 1.5418 Å (Cu Kα). Input: a DFT-relaxed cell (PBE, Alexandria).

Main lines, by intensity (2θ from 5° to 70°):
d (Å)	2theta	I_rel
2.719	32.9	1000
2.757	32.5	739
3.164	28.2	733
5.318	16.7	633
4.513	19.7	606
2.710	33.1	495
3.150	28.3	362
5.177	17.1	294

Crystal structure
```
data_Sr2Mg3Tl
_cell_length_a 6.3288
_cell_length_b 6.3288
_cell_length_c 6.4540
_cell_angle_alpha 119.43
_cell_angle_beta 119.43
_cell_angle_gamma 59.70
_space_group_name_H-M_alt 'P 1'
_space_group_IT_number 1
loop_
_space_group_symop_operation_xyz
'x,y,z'
loop_
_atom_site_label
_atom_site_fract_x
_atom_site_fract_y
_atom_site_fract_z
_atom_site_occupancy
Sr1 0.1263 0.1263 0.3793 1
Sr2 0.8737 0.8737 0.6207 1
Mg1 0.0000 0.5000 0.0000 1
Mg2 0.5000 0.0000 0.0000 1
Mg3 0.5000 0.5000 0.0000 1
Tl1 0.5000 0.5000 0.5000 1
```

Entry 7:
# LiB2Pt
Simulated powder diffractogram, λ = 1.5418 Å (Cu Kα). Input: a DFT-relaxed cell (PBE, Alexandria).

Main lines, by intensity (2θ from 5° to 70°):
d (Å)	2theta	I_rel
3.071	29.1	1000
1.881	48.4	481
2.660	33.7	479
1.604	57.5	455
1.536	60.3	128

Crystal structure
```
data_LiB2Pt
_cell_length_a 3.7615
_cell_length_b 3.7615
_cell_length_c 3.7615
_cell_angle_alpha 60.00
_cell_angle_beta 60.00
_cell_angle_gamma 60.00
_space_group_name_H-M_alt 'P 1'
_space_group_IT_number 1
loop_
_space_group_symop_operation_xyz
'x,y,z'
loop_
_atom_site_label
_atom_site_fract_x
_atom_site_fract_y
_atom_site_fract_z
_atom_site_occupancy
Li1 0.0000 0.0000 0.0000 1
B1 0.2500 0.2500 0.2500 1
B2 0.7500 0.7500 0.7500 1
Pt1 0.5000 0.5000 0.5000 1
```

Entry 8:
# AcMg13
Simulated powder diffractogram, λ = 1.5418 Å (Cu Kα). Input: a DFT-relaxed cell (PBE, Alexandria).

Main lines, by intensity (2θ from 5° to 70°):
d (Å)	2theta	I_rel
2.885	31.0	1000
3.160	28.2	870
4.997	17.8	667
7.067	12.5	445
1.889	48.2	387
4.080	21.8	366
2.235	40.4	363
1.714	53.5	317

Crystal structure
```
data_AcMg13
_cell_length_a 9.9936
_cell_length_b 9.9936
_cell_length_c 9.9936
_cell_angle_alpha 60.00
_cell_angle_beta 60.00
_cell_angle_gamma 60.00
_space_group_name_H-M_alt 'P 1'
_space_group_IT_number 1
loop_
_space_group_symop_operation_xyz
'x,y,z'
loop_
_atom_site_label
_atom_site_fract_x
_atom_site_fract_y
_atom_site_fract_z
_atom_site_occupancy
Ac1 0.2500 0.2500 0.2500 1
Ac2 0.7500 0.7500 0.7500 1
Mg1 0.0000 0.0000 0.0000 1
Mg2 0.0604 0.2991 0.7009 1
Mg3 0.0604 0.7009 0.9396 1
Mg4 0.0604 0.9396 0.2991 1
Mg5 0.2009 0.4396 0.7991 1
Mg6 0.2009 0.5604 0.4396 1
Mg7 0.2009 0.7991 0.5604 1
Mg8 0.2991 0.0604 0.9396 1
Mg9 0.2991 0.7009 0.0604 1
Mg10 0.2991 0.9396 0.7009 1
Mg11 0.4396 0.2009 0.5604 1
Mg12 0.4396 0.5604 0.7991 1
Mg13 0.4396 0.7991 0.2009 1
Mg14 0.5000 0.5000 0.5000 1
Mg15 0.5604 0.2009 0.7991 1
Mg16 0.5604 0.4396 0.2009 1
Mg17 0.5604 0.7991 0.4396 1
Mg18 0.7009 0.0604 0.2991 1
Mg19 0.7009 0.2991 0.9396 1
Mg20 0.7009 0.9396 0.0604 1
Mg21 0.7991 0.2009 0.4396 1
Mg22 0.7991 0.4396 0.5604 1
Mg23 0.7991 0.5604 0.2009 1
Mg24 0.9396 0.0604 0.7009 1
Mg25 0.9396 0.2991 0.0604 1
Mg26 0.9396 0.7009 0.2991 1
```

Entry 9:
# Tl2GeTe3
Simulated powder diffractogram, λ = 1.5418 Å (Cu Kα). Input: a DFT-relaxed cell (PBE, Alexandria).

Main lines, by intensity (2θ from 5° to 70°):
d (Å)	2theta	I_rel
3.007	29.7	1000
4.336	20.5	488
2.911	30.7	487
3.732	23.8	462
3.273	27.2	437
2.766	32.4	414
3.854	23.1	404
2.830	31.6	395

Crystal structure
```
data_Tl2GeTe3
_cell_length_a 8.7643
_cell_length_b 8.7643
_cell_length_c 16.2777
_cell_angle_alpha 91.39
_cell_angle_beta 91.39
_cell_angle_gamma 129.51
_space_group_name_H-M_alt 'P 1'
_space_group_IT_number 1
loop_
_space_group_symop_operation_xyz
'x,y,z'
loop_
_atom_site_label
_atom_site_fract_x
_atom_site_fract_y
_atom_site_fract_z
_atom_site_occupancy
Tl1 0.0641 0.4471 0.6543 1
Tl2 0.1877 0.2797 0.0659 1
Tl3 0.2797 0.1877 0.5658 1
Tl4 0.4471 0.0641 0.1543 1
Tl5 0.5529 0.9359 0.8457 1
Tl6 0.7203 0.8123 0.4342 1
Tl7 0.8123 0.7203 0.9342 1
Tl8 0.9359 0.5529 0.3457 1
Ge1 0.2031 0.2709 0.3368 1
Ge2 0.2709 0.2031 0.8368 1
Ge3 0.7291 0.7969 0.1632 1
Ge4 0.7969 0.7291 0.6632 1
Te1 0.0327 0.2715 0.8744 1
Te2 0.1301 0.8699 0.7500 1
Te3 0.2340 0.4910 0.4567 1
Te4 0.2715 0.0327 0.3744 1
Te5 0.4700 0.5300 0.7500 1
Te6 0.4910 0.2340 0.9567 1
Te7 0.5090 0.7660 0.0433 1
Te8 0.5300 0.4700 0.2500 1
Te9 0.7285 0.9673 0.6256 1
Te10 0.7660 0.5090 0.5433 1
Te11 0.8699 0.1301 0.2500 1
Te12 0.9673 0.7285 0.1256 1
```

Entry 10:
# Fe2NiIr4
Simulated powder diffractogram, λ = 1.5418 Å (Cu Kα). Input: a DFT-relaxed cell (PBE, Alexandria).

Main lines, by intensity (2θ from 5° to 70°):
d (Å)	2theta	I_rel
2.044	44.3	1000
2.190	41.2	673
4.656	19.1	583
2.136	42.3	539
2.002	45.3	442
4.531	19.6	378
1.773	51.5	350
2.411	37.3	337

Crystal structure
```
data_Fe2NiIr4
_cell_length_a 5.3294
_cell_length_b 5.3294
_cell_length_c 8.5442
_cell_angle_alpha 90.00
_cell_angle_beta 90.00
_cell_angle_gamma 121.76
_space_group_name_H-M_alt 'P 1'
_space_group_IT_number 1
loop_
_space_group_symop_operation_xyz
'x,y,z'
loop_
_atom_site_label
_atom_site_fract_x
_atom_site_fract_y
_atom_site_fract_z
_atom_site_occupancy
Fe1 0.0022 0.2139 0.0000 1
Fe2 0.2139 0.0022 0.5000 1
Fe3 0.7861 0.9978 0.5000 1
Fe4 0.9978 0.7861 0.0000 1
Ni1 0.5000 0.5000 0.2500 1
Ni2 0.5000 0.5000 0.7500 1
Ir1 0.0000 0.5000 0.2257 1
Ir2 0.0000 0.5000 0.7743 1
Ir3 0.2643 0.5344 0.5000 1
Ir4 0.4656 0.7357 0.0000 1
Ir5 0.5000 0.0000 0.2743 1
Ir6 0.5000 0.0000 0.7257 1
Ir7 0.5344 0.2643 0.0000 1
Ir8 0.7357 0.4656 0.5000 1
```